# 1
For Sn2AuSe4, a crystal structure in Alexandria, relaxed with PBE gives the simulated XRD peak list in this record (Cu Kα (weighted mean of Kα1 and Kα2)).
Lines closer than 0.1° are merged.

Atomic structure:
```
Sn2AuSe4
1.0
5.2105 -6.0022 0.0000
5.2105 6.0022 0.0000
-5.1858 0.0000 5.9994
Sn Au Se
4 2 8
direct
0.0105 0.9895 0.5000
0.0119 0.5378 0.0468
0.5378 0.0119 0.5468
0.9895 0.0105 0.0000
0.2782 0.5506 0.7482
0.5506 0.2782 0.2482
0.2318 0.7469 0.5098
0.2384 0.2763 0.9779
0.2763 0.2384 0.4779
0.2793 0.8237 0.0600
0.7469 0.2318 0.0098
0.7477 0.7588 0.5375
0.7588 0.7477 0.0375
0.8237 0.2793 0.5600
```

Main lines, sorted by position (2θ from 10° to 90°):
two_theta	intensity
22.60	62
24.97	100
27.75	49
34.43	61
39.24	77
42.61	71

# 2
For LaTlSeF2, a crystal structure in Alexandria, relaxed with PBE gives the simulated XRD peak list in this record (Cu Kα (weighted mean of Kα1 and Kα2)).
Lines closer than 0.1° are merged.

Atomic structure:
```
LaTlSeF2
1.0
4.7163 0.0000 0.0000
0.0000 4.7163 0.0000
0.0000 0.0000 6.0053
La Tl Se F
1 1 1 2
direct
0.0000 0.0000 0.0000
0.5000 0.5000 0.5000
0.0000 0.0000 0.5000
0.0000 0.5000 0.0000
0.5000 0.0000 0.0000
```

Main lines, sorted by position (2θ from 10° to 90°):
two_theta	intensity
23.99	100
26.73	83
29.75	47
38.16	48
40.42	56
49.13	46